Entry 1:
Theoretical PXRD pattern
Compound: Dy6Ho4Tm19
Radiation: Cu Kα
Structure: the GGA-PBE geometry in Alexandria
Lines closer than 0.1° are merged.

Principal peaks in the range 10° ≤ 2θ ≤ 90°, low angle first:
- 2θ = 27.17°, intensity 49, (3 1 2)
- 2θ = 29.09°, intensity 60, (4 0 0)
- 2θ = 30.90°, intensity 100, (4 1 1)
- 2θ = 34.25°, intensity 18, (3 3 2)
- 2θ = 35.83°, intensity 46, (4 2 2)
- 2θ = 37.34°, intensity 73, (4 1 3)
- 2θ = 42.95°, intensity 19, (4 3 3)
- 2θ = 50.40°, intensity 17, (6 3 1)
- 2θ = 52.71°, intensity 18, (5 3 4)
- 2θ = 54.95°, intensity 25, (6 3 3)
- 2θ = 61.33°, intensity 28, (7 1 4)
- 2θ = 62.36°, intensity 20, (8 0 2)

Structure:
```
data_Dy6Ho4Tm19
_chemical_formula_sum 'Dy12 Ho8 Tm38'
_space_group_name_H-M_alt 'I 2 3'
_space_group_IT_number 197
_space_group_name_Hall 'I 2 2 3'
_cell_length_a 12.2793
_cell_length_b 12.2793
_cell_length_c 12.2793
_cell_angle_alpha 90.00
_cell_angle_beta 90.00
_cell_angle_gamma 90.00
loop_
_atom_site_label
_atom_site_type_symbol
_atom_site_fract_x
_atom_site_fract_y
_atom_site_fract_z
Dy1 Dy 0.0000 0.3711 0.5000
Ho1 Ho 0.1786 0.1786 0.8214
Tm1 Tm 0.0000 0.0000 0.0000
Tm2 Tm 0.0000 0.0000 0.2612
Tm3 Tm 0.0640 0.2605 0.2760
```

***

Entry 2:
Theoretical PXRD pattern
Compound: AgTe3
Radiation: Cu Kα
Structure: the GGA-PBE geometry in Alexandria
Lines closer than 0.1° are merged.

Principal peaks in the range 10° ≤ 2θ ≤ 90°, low angle first:
- 2θ = 24.78°, intensity 17, (1 0 2)
- 2θ = 25.87°, intensity 31, (2 1 0)
- 2θ = 27.47°, intensity 62, (1 1 2)
- 2θ = 33.08°, intensity 56, (2 2 0)
- 2θ = 34.37°, intensity 100, (1 2 2)
- 2θ = 41.51°, intensity 44, (3 0 2)
- 2θ = 42.71°, intensity 15, (2 3 0)
- 2θ = 43.77°, intensity 14, (1 3 2)
- 2θ = 44.66°, intensity 19, (0 0 4)
- 2θ = 47.94°, intensity 21, (0 4 0)
- 2θ = 56.69°, intensity 19, (2 2 4)
- 2θ = 65.26°, intensity 20, (3 4 2)

Structure:
```
data_AgTe3
_chemical_formula_sum 'Ag4 Te12'
_space_group_name_H-M_alt 'P n m a'
_space_group_IT_number 62
_space_group_name_Hall '-P 2ac 2n'
_cell_length_a 7.7306
_cell_length_b 7.5887
_cell_length_c 8.1158
_cell_angle_alpha 90.00
_cell_angle_beta 90.00
_cell_angle_gamma 90.00
loop_
_atom_site_label
_atom_site_type_symbol
_atom_site_fract_x
_atom_site_fract_y
_atom_site_fract_z
Ag1 Ag 0.0916 0.2500 0.1331
Te1 Te 0.0704 0.2500 0.6595
Te2 Te 0.2179 0.5188 0.8687
```

***

Entry 3:
Theoretical PXRD pattern
Compound: Ho3PuRu2
Radiation: Cu Kα
Structure: the GGA-PBE geometry in Alexandria
Lines closer than 0.1° are merged.

Principal peaks in the range 10° ≤ 2θ ≤ 90°, low angle first:
- 2θ = 22.71°, intensity 41, (1 2 1)
- 2θ = 26.83°, intensity 79, (2 0 0)
- 2θ = 28.57°, intensity 39, (0 2 2)
- 2θ = 29.37°, intensity 62, (1 1 2)
- 2θ = 35.14°, intensity 77, (1 3 2)
- 2θ = 37.11°, intensity 54, (2 0 2)
- 2θ = 38.30°, intensity 100, (2 4 0)
- 2θ = 39.61°, intensity 35, (2 2 2)
- 2θ = 51.65°, intensity 22, (0 0 4)
- 2θ = 52.99°, intensity 20, (3 3 2)
- 2θ = 56.68°, intensity 27, (1 7 2)
- 2θ = 66.10°, intensity 41, (2 4 4)

Structure:
```
data_Ho3PuRu2
_chemical_formula_sum 'Ho12 Pu4 Ru8'
_space_group_name_H-M_alt 'I b a m'
_space_group_IT_number 72
_space_group_name_Hall '-I 2 2c'
_cell_length_a 6.6390
_cell_length_b 13.3096
_cell_length_c 7.0786
_cell_angle_alpha 90.00
_cell_angle_beta 90.00
_cell_angle_gamma 90.00
loop_
_atom_site_label
_atom_site_type_symbol
_atom_site_fract_x
_atom_site_fract_y
_atom_site_fract_z
Ho1 Ho 0.0000 0.0000 0.2500
Ho2 Ho 0.0000 0.2647 0.2500
Pu1 Pu 0.0000 0.5000 0.0000
Ru1 Ru 0.2379 0.1272 0.0000
```

***

Entry 4:
Theoretical PXRD pattern
Compound: YHfMn
Radiation: Cu Kα
Structure: the GGA-PBE geometry in Alexandria
Lines closer than 0.1° are merged.

Principal peaks in the range 10° ≤ 2θ ≤ 90°, low angle first:
- 2θ = 15.16°, intensity 86, (0 2 0)
- 2θ = 29.12°, intensity 65, (0 2 2)
- 2θ = 29.43°, intensity 28, (1 1 2)
- 2θ = 31.78°, intensity 90, (2 2 0)
- 2θ = 33.09°, intensity 82, (0 4 1)
- 2θ = 34.19°, intensity 73, (2 2 1)
- 2θ = 37.50°, intensity 95, (2 0 2)
- 2θ = 40.64°, intensity 100, (0 2 3)
- 2θ = 43.05°, intensity 29, (1 5 1)
- 2θ = 53.20°, intensity 29, (0 2 4)
- 2θ = 56.73°, intensity 45, (2 6 1)
- 2θ = 57.34°, intensity 60, (4 0 0)

Structure:
```
data_YHfMn
_chemical_formula_sum 'Y8 Hf8 Mn8'
_space_group_name_H-M_alt 'C m c e'
_space_group_IT_number 64
_space_group_name_Hall '-C 2ac 2'
_cell_length_a 6.4265
_cell_length_b 11.6858
_cell_length_c 7.2067
_cell_angle_alpha 90.00
_cell_angle_beta 90.00
_cell_angle_gamma 90.00
loop_
_atom_site_label
_atom_site_type_symbol
_atom_site_fract_x
_atom_site_fract_y
_atom_site_fract_z
Y1 Y 0.0000 0.1928 0.1040
Hf1 Hf 0.2500 0.0413 0.7500
Mn1 Mn 0.0000 0.0851 0.4603
```

***

Entry 5:
Theoretical PXRD pattern
Compound: Y3ScSb2C
Radiation: Cu Kα
Structure: the GGA-PBE geometry in Alexandria
Lines closer than 0.1° are merged.

Principal peaks in the range 10° ≤ 2θ ≤ 90°, low angle first:
- 2θ = 27.24°, intensity 42, (1 1 0)
- 2θ = 29.52°, intensity 49, (1 1 2)
- 2θ = 33.92°, intensity 30, (0 0 6)
- 2θ = 35.56°, intensity 100, (1 1 4)
- 2θ = 37.85°, intensity 32, (0 2 0)
- 2θ = 39.92°, intensity 27, (2 0 0)
- 2θ = 51.72°, intensity 16, (0 2 6)
- 2θ = 53.36°, intensity 16, (2 0 6)
- 2θ = 56.18°, intensity 19, (2 2 0)
- 2θ = 65.39°, intensity 17, (1 1 10)
- 2θ = 66.87°, intensity 15, (1 3 4)
- 2θ = 67.27°, intensity 14, (2 2 6)

Structure:
```
data_Y3ScSb2C
_chemical_formula_sum 'Y6 Sc2 Sb4 C2'
_space_group_name_H-M_alt 'I m m m'
_space_group_IT_number 71
_space_group_name_Hall '-I 2 2'
_cell_length_a 4.5164
_cell_length_b 4.7539
_cell_length_c 15.8581
_cell_angle_alpha 90.00
_cell_angle_beta 90.00
_cell_angle_gamma 90.00
loop_
_atom_site_label
_atom_site_type_symbol
_atom_site_fract_x
_atom_site_fract_y
_atom_site_fract_z
Y1 Y 0.0000 0.0000 0.0000
Y2 Y 0.0000 0.5000 0.1597
Sc1 Sc 0.0000 0.0000 0.5000
Sb1 Sb 0.0000 0.5000 0.3586
C1 C 0.0000 0.5000 0.0000
```